1.
Sr2Ca5Cd: calculated PXRD pattern (a wavelength of 1.5418 Å), based on a GGA-PBE-relaxed structure.
Kinematic intensities with the Lorentz-polarization factor, no thermal factor.

Atomic structure:
```
data_Sr2Ca5Cd
_cell_length_a 9.553
_cell_length_b 17.297
_cell_length_c 4.025
_cell_angle_alpha 90.00
_cell_angle_beta 90.00
_cell_angle_gamma 90.00
_symmetry_space_group_name_H-M 'P 1'
_symmetry_Int_Tables_number 1
loop_
_symmetry_equiv_pos_as_xyz
'x,y,z'
loop_
_atom_site_label
_atom_site_fract_x
_atom_site_fract_y
_atom_site_fract_z
Sr1 0.207 0.115 0.000
Sr2 0.293 0.615 0.000
Sr3 0.707 0.385 0.000
Sr4 0.793 0.885 0.000
Ca1 0.000 0.500 0.500
Ca2 0.005 0.275 0.500
Ca3 0.201 0.886 0.000
Ca4 0.299 0.386 0.000
Ca5 0.495 0.775 0.500
Ca6 0.500 0.000 0.500
Ca7 0.505 0.225 0.500
Ca8 0.701 0.614 0.000
Ca9 0.799 0.114 0.000
Ca10 0.995 0.725 0.500
Cd1 0.000 0.000 0.500
Cd2 0.500 0.500 0.500
```

Most intense lines, 2θ = 10–80°, sorted by position:
d_spacing	I_rel
8.649	30
8.363	59
3.206	100
3.078	100
2.946	94
2.471	31

---

2.
Sr5CaCd6: calculated PXRD pattern (a wavelength of 1.5418 Å), based on a GGA-PBE-relaxed structure.
Kinematic intensities with the Lorentz-polarization factor, no thermal factor.

Atomic structure:
```
data_Sr5CaCd6
_cell_length_a 9.864
_cell_length_b 9.864
_cell_length_c 9.864
_cell_angle_alpha 146.48
_cell_angle_beta 131.76
_cell_angle_gamma 60.02
_symmetry_space_group_name_H-M 'P 1'
_symmetry_Int_Tables_number 1
loop_
_symmetry_equiv_pos_as_xyz
'x,y,z'
loop_
_atom_site_label
_atom_site_fract_x
_atom_site_fract_y
_atom_site_fract_z
Sr1 0.000 0.000 0.000
Sr2 0.165 0.665 0.500
Sr3 0.331 0.331 0.000
Sr4 0.669 0.669 0.000
Sr5 0.835 0.335 0.500
Ca1 0.500 0.000 0.500
Cd1 0.095 0.837 0.257
Cd2 0.264 0.500 0.764
Cd3 0.420 0.163 0.257
Cd4 0.580 0.837 0.743
Cd5 0.736 0.500 0.236
Cd6 0.905 0.163 0.743
```

Most intense lines, 2θ = 10–80°, sorted by position:
d_spacing	I_rel
2.847	100
2.013	18
1.644	36
1.424	11
1.274	7
1.273	8

---

3.
SrCa3Cd8: calculated PXRD pattern (a wavelength of 1.5418 Å), based on a GGA-PBE-relaxed structure.
Kinematic intensities with the Lorentz-polarization factor, no thermal factor.

Atomic structure:
```
data_SrCa3Cd8
_cell_length_a 6.136
_cell_length_b 6.136
_cell_length_c 9.672
_cell_angle_alpha 90.00
_cell_angle_beta 90.00
_cell_angle_gamma 120.00
_symmetry_space_group_name_H-M 'P 1'
_symmetry_Int_Tables_number 1
loop_
_symmetry_equiv_pos_as_xyz
'x,y,z'
loop_
_atom_site_label
_atom_site_fract_x
_atom_site_fract_y
_atom_site_fract_z
Sr1 0.000 0.000 0.000
Ca1 0.000 0.000 0.383
Ca2 0.667 0.333 0.497
Ca3 0.667 0.333 0.874
Cd1 0.163 0.326 0.685
Cd2 0.163 0.837 0.685
Cd3 0.333 0.667 0.437
Cd4 0.333 0.667 0.937
Cd5 0.504 0.009 0.190
Cd6 0.504 0.496 0.190
Cd7 0.674 0.837 0.685
Cd8 0.991 0.496 0.190
```

Most intense lines, 2θ = 10–80°, sorted by position:
d_spacing	I_rel
5.314	33
2.756	40
2.591	88
2.562	100
2.329	42
1.534	28

---

4.
Sr4CaCd3: calculated PXRD pattern (a wavelength of 1.5418 Å), based on a GGA-PBE-relaxed structure.
Kinematic intensities with the Lorentz-polarization factor, no thermal factor.

Atomic structure:
```
data_Sr4CaCd3
_cell_length_a 4.493
_cell_length_b 5.005
_cell_length_c 14.036
_cell_angle_alpha 90.00
_cell_angle_beta 90.00
_cell_angle_gamma 90.00
_symmetry_space_group_name_H-M 'P 1'
_symmetry_Int_Tables_number 1
loop_
_symmetry_equiv_pos_as_xyz
'x,y,z'
loop_
_atom_site_label
_atom_site_fract_x
_atom_site_fract_y
_atom_site_fract_z
Sr1 0.000 0.000 0.000
Sr2 0.000 0.500 0.263
Sr3 0.500 0.000 0.447
Sr4 0.500 0.500 0.820
Ca1 0.000 0.000 0.676
Cd1 0.000 0.500 0.526
Cd2 0.500 0.000 0.195
Cd3 0.500 0.500 0.069
```

Most intense lines, 2θ = 10–80°, sorted by position:
d_spacing	I_rel
3.252	100
3.241	33
2.873	48
2.720	46
2.502	31
2.247	22